For Li7Mn2Co3O12, a DFT-relaxed cell (PBE+U, the Materials Project) gives the calculated powder X-ray diffraction pattern in this record (Cu Kα X-rays).
Intensities are scaled so that the largest is 100.

Largest 10 diffraction maxima, in order of rising 2θ, 2θ from 10° to 90°:
d 4.931, 2θ = 18.0°, rel. 7, hkl 1 0 0
d 4.845, 2θ = 18.3°, rel. 100, hkl 0 1 1
d 2.540, 2θ = 35.3°, rel. 14, hkl 1 1 -2
d 2.468, 2θ = 36.4°, rel. 24, hkl 2 0 0
d 2.128, 2θ = 42.5°, rel. 31, hkl 1 2 -1
d 2.054, 2θ = 44.1°, rel. 28, hkl -2 1 1
d 2.048, 2θ = 44.2°, rel. 26, hkl 1 1 4
d 1.486, 2θ = 62.5°, rel. 8, hkl 1 -3 0
d 1.480, 2θ = 62.8°, rel. 8, hkl 2 3 3
d 1.471, 2θ = 63.2°, rel. 15, hkl 3 1 -2

Crystal structure
```
data_Li7Mn2Co3O12
_cell_length_a 5.023
_cell_length_b 5.191
_cell_length_c 8.722
_cell_angle_alpha 73.96
_cell_angle_beta 85.29
_cell_angle_gamma 79.64
_symmetry_space_group_name_H-M 'P 1'
_symmetry_Int_Tables_number 1
loop_
_symmetry_equiv_pos_as_xyz
'x,y,z'
loop_
_atom_site_label
_atom_site_type_symbol
_atom_site_fract_x
_atom_site_fract_y
_atom_site_fract_z
Li1 Li 0.000 0.000 0.000
Li2 Li 0.002 0.676 0.309
Li3 Li 0.254 0.426 0.071
Li4 Li 0.487 0.167 0.840
Li5 Li 0.492 0.839 0.153
Li6 Li 0.497 0.508 0.482
Li7 Li 0.996 0.337 0.661
Mn1 Mn 0.245 0.751 0.745
Mn2 Mn 0.743 0.914 0.572
Co1 Co 0.244 0.095 0.392
Co2 Co 0.740 0.254 0.238
Co3 Co 0.758 0.582 0.927
O1 O 0.104 0.726 0.542
O2 O 0.106 0.056 0.210
O3 O 0.126 0.419 0.852
O4 O 0.368 0.801 0.931
O5 O 0.376 0.093 0.611
O6 O 0.388 0.434 0.285
O7 O 0.611 0.580 0.700
O8 O 0.620 0.874 0.380
O9 O 0.640 0.226 0.039
O10 O 0.856 0.256 0.450
O11 O 0.862 0.637 0.108
O12 O 0.883 0.951 0.767
```

For Li7Mn2Co3O12, a DFT-relaxed cell (PBE+U, the Materials Project) gives the calculated powder X-ray diffraction pattern in this record (Cu Kα X-rays).
Intensities are scaled so that the largest is 100.

Largest 10 diffraction maxima, in order of rising 2θ, 2θ from 10° to 90°:
d 4.787, 2θ = 18.5°, rel. 100, hkl 0 0 3
d 2.504, 2θ = 35.9°, rel. 39, hkl 1 1 -1
d 2.081, 2θ = 43.5°, rel. 56, hkl 1 1 -4
d 2.064, 2θ = 43.9°, rel. 27, hkl 2 0 4
d 1.892, 2θ = 48.1°, rel. 8, hkl 1 1 5
d 1.603, 2θ = 57.5°, rel. 9, hkl 1 1 -7
d 1.483, 2θ = 62.7°, rel. 7, hkl 2 0 -8
d 1.472, 2θ = 63.2°, rel. 15, hkl 3 1 0
d 1.461, 2θ = 63.7°, rel. 8, hkl 0 2 0
d 1.459, 2θ = 63.8°, rel. 14, hkl 1 1 8

Crystal structure
```
data_Li7Mn2Co3O12
_cell_length_a 5.114
_cell_length_b 2.921
_cell_length_c 14.363
_cell_angle_alpha 90.00
_cell_angle_beta 91.10
_cell_angle_gamma 90.00
_symmetry_space_group_name_H-M 'P 1 2/m 1'
_symmetry_Int_Tables_number 10
loop_
_symmetry_equiv_pos_as_xyz
'x,y,z'
'-x,-y,-z'
'-x,y,-z'
'x,-y,z'
loop_
_atom_site_label
_atom_site_type_symbol
_atom_site_fract_x
_atom_site_fract_y
_atom_site_fract_z
Li1 Li 0.000 0.000 0.000
Li2 Li 0.000 0.000 0.500
Li3 Li 0.151 0.500 0.154
Li4 Li 0.340 0.000 0.845
Li5 Li 0.500 0.500 0.500
Mn1 Mn 0.329 0.000 0.332
Co1 Co 0.171 0.500 0.670
Co2 Co 0.500 0.500 0.000
O1 O 0.014 0.000 0.257
O2 O 0.188 0.500 0.410
O3 O 0.212 0.500 0.925
O4 O 0.345 0.000 0.074
O5 O 0.350 0.000 0.593
O6 O 0.465 0.500 0.257
```

For Li7Mn4CoO12, a DFT-relaxed cell (PBE+U, the Materials Project) gives the calculated powder X-ray diffraction pattern in this record (Cu Kα X-rays).
Intensities are scaled so that the largest is 100.

Largest 10 diffraction maxima, in order of rising 2θ, 2θ from 10° to 90°:
d 4.837, 2θ = 18.3°, rel. 100, hkl 0 0 2
d 2.546, 2θ = 35.3°, rel. 15, hkl 2 0 0
d 2.468, 2θ = 36.4°, rel. 24, hkl 1 3 -1
d 2.130, 2θ = 42.4°, rel. 31, hkl 2 0 2
d 2.050, 2θ = 44.2°, rel. 56, hkl 1 3 -3
d 1.913, 2θ = 47.5°, rel. 9, hkl 1 3 3
d 1.587, 2θ = 58.1°, rel. 9, hkl 1 3 -5
d 1.481, 2θ = 62.7°, rel. 16, hkl 1 3 5
d 1.473, 2θ = 63.1°, rel. 16, hkl 3 3 -1
d 1.439, 2θ = 64.8°, rel. 8, hkl 0 6 0

Crystal structure
```
data_Li7Mn4CoO12
_cell_length_a 5.146
_cell_length_b 8.632
_cell_length_c 9.776
_cell_angle_alpha 90.00
_cell_angle_beta 98.31
_cell_angle_gamma 90.00
_symmetry_space_group_name_H-M 'C 1 2 1'
_symmetry_Int_Tables_number 5
loop_
_symmetry_equiv_pos_as_xyz
'x,y,z'
'-x,y,-z'
'x+1/2,y+1/2,z'
'-x+1/2,y+1/2,-z'
loop_
_atom_site_label
_atom_site_type_symbol
_atom_site_fract_x
_atom_site_fract_y
_atom_site_fract_z
Li1 Li 0.000 0.000 0.000
Li2 Li 0.239 0.836 0.248
Li3 Li 0.245 0.999 0.754
Li4 Li 0.249 0.665 0.751
Mn1 Mn 0.000 0.163 0.500
Mn2 Mn 0.000 0.332 0.000
Mn3 Mn 0.000 0.503 0.500
Mn4 Mn 0.000 0.667 0.000
Co1 Co 0.000 0.833 0.500
O1 O 0.102 0.998 0.380
O2 O 0.103 0.669 0.382
O3 O 0.106 0.499 0.887
O4 O 0.141 0.333 0.394
O5 O 0.149 0.178 0.889
O6 O 0.149 0.822 0.890
```

For Li4MnCo2O7, a DFT-relaxed cell (PBE+U, the Materials Project) gives the calculated powder X-ray diffraction pattern in this record (Cu Kα X-rays).
Intensities are scaled so that the largest is 100.

Largest 10 diffraction maxima, in order of rising 2θ, 2θ from 10° to 90°:
d 8.464, 2θ = 10.5°, rel. 8, hkl 4 0 0
d 4.860, 2θ = 18.3°, rel. 100, hkl 2 0 1
d 2.565, 2θ = 35.0°, rel. 15, hkl 12 0 -1
d 2.498, 2θ = 36.0°, rel. 27, hkl 7 1 0
d 2.144, 2θ = 42.1°, rel. 30, hkl 10 0 -2
d 2.070, 2θ = 43.7°, rel. 56, hkl 9 1 1
d 1.931, 2θ = 47.1°, rel. 10, hkl 3 1 -2
d 1.599, 2θ = 57.6°, rel. 10, hkl 11 1 2
d 1.492, 2θ = 62.2°, rel. 16, hkl 1 1 -3
d 1.486, 2θ = 62.5°, rel. 14, hkl 19 1 -1

Crystal structure
```
data_Li4MnCo2O7
_cell_length_a 33.962
_cell_length_b 2.916
_cell_length_c 5.211
_cell_angle_alpha 90.00
_cell_angle_beta 94.52
_cell_angle_gamma 90.00
_symmetry_space_group_name_H-M 'C 1 2/m 1'
_symmetry_Int_Tables_number 12
loop_
_symmetry_equiv_pos_as_xyz
'x,y,z'
'-x,-y,-z'
'-x,y,-z'
'x,-y,z'
'x+1/2,y+1/2,z'
'-x+1/2,-y+1/2,-z'
'-x+1/2,y+1/2,-z'
'x+1/2,-y+1/2,z'
loop_
_atom_site_label
_atom_site_type_symbol
_atom_site_fract_x
_atom_site_fract_y
_atom_site_fract_z
Li1 Li 0.000 0.000 0.000
Li2 Li 0.000 0.500 0.500
Li3 Li 0.069 0.000 0.360
Li4 Li 0.140 0.500 0.213
Li5 Li 0.212 0.000 0.070
Mn1 Mn 0.213 0.500 0.577
Co1 Co 0.066 0.500 0.873
Co2 Co 0.139 0.000 0.720
O1 O 0.037 0.500 0.159
O2 O 0.039 0.000 0.685
O3 O 0.106 0.000 0.016
O4 O 0.111 0.500 0.550
O5 O 0.178 0.500 0.876
O6 O 0.182 0.000 0.409
O7 O 0.247 0.000 0.724
```